Record 1
This entry pairs a crystal structure of Ca2MoH6 with its computed PXRD pattern. Radiation: λ = 1.5418 Å (Cu Kα). Structure: a cell relaxed with GGA-PBE.

Structure:
```
data_Ca2MoH6
_cell_length_a 7.4072
_cell_length_b 7.4072
_cell_length_c 7.4072
_cell_angle_alpha 90.00
_cell_angle_beta 90.00
_cell_angle_gamma 90.00
_symmetry_space_group_name_H-M 'F m -3 m'
_symmetry_Int_Tables_number 225
_symmetry_space_group_name_Hall '-F 4 2 3'
loop_
_atom_site_label
_atom_site_type_symbol
_atom_site_fract_x
_atom_site_fract_y
_atom_site_fract_z
Ca1 Ca 0.2500 0.2500 0.2500
Mo1 Mo 0.0000 0.0000 0.0000
H1 H 0.0000 0.0000 0.2483
```

Most intense lines, 15 to 90 degrees two-theta, sorted by position:
| (hkl) | 2θ (°) | I_rel |
| --- | --- | --- |
| 1 1 1 | 20.77 | 72.0 |
| 2 2 0 | 34.24 | 100.0 |
| 3 1 1 | 40.39 | 37.2 |
| 4 0 0 | 49.20 | 18.5 |
| 3 3 1 | 53.96 | 15.4 |
| 4 2 2 | 61.31 | 33.8 |

=====

Record 2
This entry pairs a crystal structure of CaMoH2Pd with its computed PXRD pattern. Radiation: λ = 1.5418 Å (Cu Kα). Structure: a cell relaxed with GGA-PBE.

Structure:
```
data_CaMoH2Pd
_cell_length_a 4.0121
_cell_length_b 4.0121
_cell_length_c 4.9064
_cell_angle_alpha 90.00
_cell_angle_beta 90.00
_cell_angle_gamma 90.00
_symmetry_space_group_name_H-M 'P 4/m m m'
_symmetry_Int_Tables_number 123
_symmetry_space_group_name_Hall '-P 4 2'
loop_
_atom_site_label
_atom_site_type_symbol
_atom_site_fract_x
_atom_site_fract_y
_atom_site_fract_z
Ca1 Ca 0.0000 0.0000 0.0000
Mo1 Mo 0.5000 0.5000 0.0000
H1 H 0.0000 0.5000 0.5000
Pd1 Pd 0.5000 0.5000 0.5000
```

Most intense lines, 15 to 90 degrees two-theta, sorted by position:
| (hkl) | 2θ (°) | I_rel |
| --- | --- | --- |
| 1 0 0 | 22.16 | 100.0 |
| 1 1 0 | 31.54 | 92.1 |
| 0 0 2 | 36.63 | 34.3 |
| 1 0 2 | 43.23 | 34.1 |
| 2 0 0 | 45.20 | 34.3 |
| 1 1 2 | 49.09 | 52.1 |

=====

Record 3
This entry pairs a crystal structure of Ca4H6N with its computed PXRD pattern. Radiation: λ = 1.5418 Å (Cu Kα). Structure: a cell relaxed with GGA-PBE.

Structure:
```
data_Ca4H6N
_cell_length_a 7.6720
_cell_length_b 7.6720
_cell_length_c 5.5443
_cell_angle_alpha 90.00
_cell_angle_beta 90.00
_cell_angle_gamma 90.00
_symmetry_space_group_name_H-M 'P 42/n m c'
_symmetry_Int_Tables_number 137
loop_
_symmetry_equiv_pos_as_xyz
'x,y,z'
'-x,-y,-z'
'-y+1/2,x,z+1/2'
'y+1/2,-x,-z+1/2'
'-x+1/2,-y+1/2,z'
'x+1/2,y+1/2,-z'
'y,-x+1/2,z+1/2'
'-y,x+1/2,-z+1/2'
'x+1/2,-y,-z'
'-x+1/2,y,z'
'-y,-x,-z+1/2'
'y,x,z+1/2'
'-x,y+1/2,-z'
'x,-y+1/2,z'
'y+1/2,x+1/2,-z+1/2'
'-y+1/2,-x+1/2,z+1/2'
loop_
_atom_site_label
_atom_site_type_symbol
_atom_site_fract_x
_atom_site_fract_y
_atom_site_fract_z
Ca1 Ca 0.0090 0.2500 0.0360
H1 H 0.0275 0.5275 0.2500
H2 H 0.2500 0.2500 0.2884
N1 N 0.2500 0.7500 0.7500
```

Most intense lines, 15 to 90 degrees two-theta, sorted by position:
| (hkl) | 2θ (°) | I_rel |
| --- | --- | --- |
| 2 0 1 | 28.29 | 100.0 |
| 0 0 2 | 32.29 | 10.7 |
| 2 2 0 | 33.02 | 25.6 |
| 2 2 2 | 46.86 | 23.6 |
| 4 0 0 | 47.40 | 13.6 |
| 4 2 1 | 56.12 | 24.0 |

=====

Record 4
This entry pairs a crystal structure of Ca4H5N with its computed PXRD pattern. Radiation: λ = 1.5418 Å (Cu Kα). Structure: a cell relaxed with GGA-PBE.

Structure:
```
data_Ca4H5N
_cell_length_a 14.4391
_cell_length_b 3.6022
_cell_length_c 6.5680
_cell_angle_alpha 90.00
_cell_angle_beta 117.00
_cell_angle_gamma 90.00
_symmetry_space_group_name_H-M 'C 1 2/m 1'
_symmetry_Int_Tables_number 12
_symmetry_space_group_name_Hall '-C 2y'
loop_
_atom_site_label
_atom_site_type_symbol
_atom_site_fract_x
_atom_site_fract_y
_atom_site_fract_z
Ca1 Ca 0.9998 0.0000 0.2413
Ca2 Ca 0.1940 0.5000 0.1942
H1 H 0.0000 0.5000 0.5000
H2 H 0.1777 0.0000 0.4069
H3 H 0.1781 0.0000 0.9499
N1 N 0.0000 0.5000 0.0000
```

Most intense lines, 15 to 90 degrees two-theta, sorted by position:
| (hkl) | 2θ (°) | I_rel |
| --- | --- | --- |
| 0 0 1 | 15.15 | 72.8 |
| 1 1 -1 | 28.26 | 56.9 |
| 0 0 2 | 30.56 | 90.5 |
| 3 1 0 | 32.46 | 85.7 |
| 3 1 -2 | 37.72 | 100.0 |
| 3 1 2 | 51.78 | 72.3 |

=====

Record 5
This entry pairs a crystal structure of Ca4HN2 with its computed PXRD pattern. Radiation: λ = 1.5418 Å (Cu Kα). Structure: a cell relaxed with GGA-PBE.

Structure:
```
data_Ca4HN2
_cell_length_a 6.2710
_cell_length_b 3.5760
_cell_length_c 6.3704
_cell_angle_alpha 90.00
_cell_angle_beta 108.57
_cell_angle_gamma 90.00
_symmetry_space_group_name_H-M 'P 1 2/m 1'
_symmetry_Int_Tables_number 10
_symmetry_space_group_name_Hall '-P 2y'
loop_
_atom_site_label
_atom_site_type_symbol
_atom_site_fract_x
_atom_site_fract_y
_atom_site_fract_z
Ca1 Ca 0.2306 0.0000 0.2043
Ca2 Ca 0.2636 0.5000 0.7896
H1 H 0.0000 0.0000 0.5000
N1 N 0.0000 0.5000 0.0000
N2 N 0.5000 0.0000 0.0000
```

Most intense lines, 15 to 90 degrees two-theta, sorted by position:
| (hkl) | 2θ (°) | I_rel |
| --- | --- | --- |
| 0 0 2 | 29.59 | 20.4 |
| 2 0 0 | 30.07 | 26.9 |
| 1 1 -1 | 30.47 | 53.1 |
| 2 0 -2 | 34.95 | 100.0 |
| 1 1 -3 | 49.96 | 14.9 |
| 3 1 -1 | 50.58 | 22.6 |

=====

Record 6
This entry pairs a crystal structure of CaH2N with its computed PXRD pattern. Radiation: λ = 1.5418 Å (Cu Kα). Structure: a cell relaxed with GGA-PBE.

Structure:
```
data_CaH2N
_cell_length_a 3.7135
_cell_length_b 11.2532
_cell_length_c 5.0426
_cell_angle_alpha 90.00
_cell_angle_beta 90.38
_cell_angle_gamma 90.00
_symmetry_space_group_name_H-M 'C 1 2/c 1'
_symmetry_Int_Tables_number 15
_symmetry_space_group_name_Hall '-C 2yc'
loop_
_atom_site_label
_atom_site_type_symbol
_atom_site_fract_x
_atom_site_fract_y
_atom_site_fract_z
Ca1 Ca 0.0000 0.1543 0.2500
H1 H 0.2109 0.1344 0.7527
N1 N 0.0000 0.1967 0.7500
```

Most intense lines, 15 to 90 degrees two-theta, sorted by position:
| (hkl) | 2θ (°) | I_rel |
| --- | --- | --- |
| 0 2 0 | 15.75 | 98.7 |
| 0 2 1 | 23.69 | 67.1 |
| 1 1 0 | 25.26 | 68.4 |
| 1 3 0 | 33.97 | 100.0 |
| 0 0 2 | 35.61 | 52.8 |
| 1 3 -2 | 49.91 | 28.6 |

=====

Please write out number 5 again, unchanged.
This entry pairs a crystal structure of Ca4HN2 with its computed PXRD pattern. Radiation: λ = 1.5418 Å (Cu Kα). Structure: a cell relaxed with GGA-PBE.

Structure:
```
data_Ca4HN2
_cell_length_a 6.2710
_cell_length_b 3.5760
_cell_length_c 6.3704
_cell_angle_alpha 90.00
_cell_angle_beta 108.57
_cell_angle_gamma 90.00
_symmetry_space_group_name_H-M 'P 1 2/m 1'
_symmetry_Int_Tables_number 10
_symmetry_space_group_name_Hall '-P 2y'
loop_
_atom_site_label
_atom_site_type_symbol
_atom_site_fract_x
_atom_site_fract_y
_atom_site_fract_z
Ca1 Ca 0.2306 0.0000 0.2043
Ca2 Ca 0.2636 0.5000 0.7896
H1 H 0.0000 0.0000 0.5000
N1 N 0.0000 0.5000 0.0000
N2 N 0.5000 0.0000 0.0000
```

Most intense lines, 15 to 90 degrees two-theta, sorted by position:
| (hkl) | 2θ (°) | I_rel |
| --- | --- | --- |
| 0 0 2 | 29.59 | 20.4 |
| 2 0 0 | 30.07 | 26.9 |
| 1 1 -1 | 30.47 | 53.1 |
| 2 0 -2 | 34.95 | 100.0 |
| 1 1 -3 | 49.96 | 14.9 |
| 3 1 -1 | 50.58 | 22.6 |

=====

What is the formula in the third record?
Ca4H6N